1.
# Ba2GaPt3
Simulated PXRD pattern, Cu Kα X-rays. Input: a DFT-relaxed cell (PBE, Alexandria).

Top 6 peaks for 2θ = 10–90°, sorted by position:
| two_theta | d_spacing | intensity | hkl |
| --- | --- | --- | --- |
| 19.09 | 4.649 | 29 | 0 1 0 |
| 29.54 | 3.024 | 39 | 0 1 2 |
| 30.25 | 2.954 | 100 | 1 1 1 |
| 38.74 | 2.325 | 28 | 0 2 0 |
| 39.76 | 2.267 | 47 | 1 0 3 |
| 56.72 | 1.623 | 34 | 1 2 3 |

Structure:
```
data_Ba2GaPt3
_chemical_formula_sum 'Ba2 Ga1 Pt3'
_cell_length_a 4.363
_cell_length_b 4.649
_cell_length_c 7.961
_cell_angle_alpha 90.00
_cell_angle_beta 90.00
_cell_angle_gamma 90.00
_space_group_name_H-M_alt 'P m m 2'
_space_group_IT_number 25
loop_
_space_group_symop_operation_xyz
'x,y,z'
'-x,-y,z'
'-x,y,z'
'x,-y,z'
loop_
_atom_site_label
_atom_site_fract_x
_atom_site_fract_y
_atom_site_fract_z
_atom_site_occupancy
Ba1 0.000 0.000 0.000 1
Ba2 0.500 0.000 0.464 1
Ga1 0.000 0.500 0.649 1
Pt1 0.000 0.500 0.340 1
Pt2 0.500 0.500 0.139 1
Pt3 0.500 0.500 0.808 1
```

---

2.
# TiZn4Ag
Simulated PXRD pattern, Cu Kα X-rays. Input: a DFT-relaxed cell (PBE, Alexandria).

Top 6 peaks for 2θ = 10–90°, sorted by position:
| two_theta | d_spacing | intensity | hkl |
| --- | --- | --- | --- |
| 35.22 | 2.548 | 30 | 2 2 0 |
| 41.55 | 2.173 | 100 | 3 1 1 |
| 43.49 | 2.081 | 37 | 2 2 2 |
| 67.52 | 1.387 | 29 | 5 1 1 |
| 74.46 | 1.274 | 24 | 4 4 0 |
| 89.07 | 1.099 | 10 | 5 3 3 |

Structure:
```
data_TiZn4Ag
_chemical_formula_sum 'Ti4 Zn16 Ag4'
_cell_length_a 7.208
_cell_length_b 7.208
_cell_length_c 7.208
_cell_angle_alpha 90.00
_cell_angle_beta 90.00
_cell_angle_gamma 90.00
_space_group_name_H-M_alt 'F -4 3 m'
_space_group_IT_number 216
_space_group_name_Hall 'F -4 2 3'
loop_
_atom_site_label
_atom_site_fract_x
_atom_site_fract_y
_atom_site_fract_z
_atom_site_occupancy
Ti1 0.000 0.000 0.000 1
Zn1 0.126 0.126 0.374 1
Ag1 0.250 0.250 0.750 1
```

---

3.
# Bi4Pb7
Simulated PXRD pattern, Cu Kα X-rays. Input: a DFT-relaxed cell (PBE, Alexandria).

Top 6 peaks for 2θ = 10–90°, sorted by position:
| two_theta | d_spacing | intensity | hkl |
| --- | --- | --- | --- |
| 26.74 | 3.334 | 49 | 1 1 1 |
| 28.73 | 3.108 | 100 | 2 0 1 |
| 34.06 | 2.633 | 67 | 2 1 1 |
| 36.26 | 2.477 | 55 | 2 2 0 |
| 40.01 | 2.253 | 29 | 0 0 2 |
| 55.09 | 1.667 | 34 | 2 2 2 |

Structure:
```
data_Bi4Pb7
_chemical_formula_sum 'Bi4 Pb7'
_cell_length_a 9.9089
_cell_length_b 9.9089
_cell_length_c 4.5069
_cell_angle_alpha 90.00
_cell_angle_beta 90.00
_cell_angle_gamma 120.00
_space_group_name_H-M_alt 'P -6 m 2'
_space_group_IT_number 187
_space_group_name_Hall 'P -6 2'
loop_
_atom_site_label
_atom_site_fract_x
_atom_site_fract_y
_atom_site_fract_z
_atom_site_occupancy
Bi1 0.0000 0.0000 0.0000 1
Bi2 0.0067 0.5034 0.5000 1
Pb1 0.2132 0.4265 0.0000 1
Pb2 0.2784 0.1392 0.5000 1
Pb3 0.6667 0.3333 0.0000 1
```

---

4.
# K2LaP2S7
Simulated PXRD pattern, Cu Kα X-rays. Input: a DFT-relaxed cell (PBE, Alexandria).

Top 6 peaks for 2θ = 10–90°, sorted by position:
| two_theta | d_spacing | intensity | hkl |
| --- | --- | --- | --- |
| 10.92 | 8.104 | 100 | 1 0 -2 |
| 13.47 | 6.576 | 54 | 0 1 1 |
| 15.94 | 5.559 | 58 | 1 1 -1 |
| 25.62 | 3.477 | 45 | 0 2 0 |
| 32.19 | 2.780 | 47 | 2 2 -2 |
| 37.10 | 2.423 | 39 | 0 2 6 |

Structure:
```
data_K2LaP2S7
_chemical_formula_sum 'K8 La4 P8 S28'
_cell_length_a 9.308
_cell_length_b 6.952
_cell_length_c 21.501
_cell_angle_alpha 90.00
_cell_angle_beta 109.45
_cell_angle_gamma 90.00
_space_group_name_H-M_alt 'P 1 21/c 1'
_space_group_IT_number 14
loop_
_space_group_symop_operation_xyz
'x,y,z'
'-x,-y,-z'
'-x,y+1/2,-z+1/2'
'x,-y+1/2,z+1/2'
loop_
_atom_site_label
_atom_site_fract_x
_atom_site_fract_y
_atom_site_fract_z
_atom_site_occupancy
K1 0.159 0.048 0.317 1
K2 0.250 0.518 0.489 1
La1 0.341 0.029 0.651 1
P1 0.038 0.014 0.456 1
P2 0.428 0.517 0.330 1
S1 0.039 0.227 0.599 1
S2 0.073 0.747 0.095 1
S3 0.217 0.021 0.759 1
S4 0.267 0.041 0.495 1
S5 0.418 0.077 0.219 1
S6 0.430 0.747 0.389 1
S7 0.484 0.220 0.890 1
```

---

5.
# InAg3
Simulated PXRD pattern, Cu Kα X-rays. Input: a DFT-relaxed cell (PBE, Alexandria).

Top 6 peaks for 2θ = 10–90°, sorted by position:
| two_theta | d_spacing | intensity | hkl |
| --- | --- | --- | --- |
| 32.88 | 2.724 | 13 | 1 0 1 |
| 36.51 | 2.461 | 17 | 0 0 2 |
| 37.86 | 2.376 | 30 | 0 4 0 |
| 38.08 | 2.363 | 100 | 1 2 1 |
| 41.31 | 2.185 | 23 | 0 2 2 |
| 68.52 | 1.369 | 16 | 1 6 1 |

Structure:
```
data_InAg3
_chemical_formula_sum 'In2 Ag6'
_cell_length_a 3.271
_cell_length_b 9.505
_cell_length_c 4.922
_cell_angle_alpha 90.00
_cell_angle_beta 90.00
_cell_angle_gamma 90.00
_space_group_name_H-M_alt 'I m m 2'
_space_group_IT_number 44
loop_
_space_group_symop_operation_xyz
'x,y,z'
'-x,-y,z'
'-x,y,z'
'x,-y,z'
'x+1/2,y+1/2,z+1/2'
'-x+1/2,-y+1/2,z+1/2'
'-x+1/2,y+1/2,z+1/2'
'x+1/2,-y+1/2,z+1/2'
loop_
_atom_site_label
_atom_site_fract_x
_atom_site_fract_y
_atom_site_fract_z
_atom_site_occupancy
In1 0.000 0.000 0.000 1
Ag1 0.000 0.247 0.379 1
Ag2 0.000 0.500 0.006 1
```

---

6.
# CeEr2Tm7
Simulated PXRD pattern, Cu Kα X-rays. Input: a DFT-relaxed cell (PBE, Alexandria).

Top 6 peaks for 2θ = 10–90°, sorted by position:
| two_theta | d_spacing | intensity | hkl |
| --- | --- | --- | --- |
| 29.65 | 3.013 | 41 | 1 1 1 |
| 30.79 | 2.904 | 71 | 2 4 0 |
| 31.52 | 2.838 | 72 | 0 10 0 |
| 33.52 | 2.673 | 100 | 1 5 1 |
| 33.94 | 2.641 | 67 | 2 6 0 |
| 53.18 | 1.722 | 46 | 0 0 2 |

Structure:
```
data_CeEr2Tm7
_chemical_formula_sum 'Ce2 Er4 Tm14'
_cell_length_a 6.366
_cell_length_b 28.385
_cell_length_c 3.446
_cell_angle_alpha 90.00
_cell_angle_beta 90.00
_cell_angle_gamma 90.00
_space_group_name_H-M_alt 'C m m m'
_space_group_IT_number 65
_space_group_name_Hall '-C 2 2'
loop_
_atom_site_label
_atom_site_fract_x
_atom_site_fract_y
_atom_site_fract_z
_atom_site_occupancy
Ce1 0.000 0.000 0.000 1
Er1 0.000 0.291 0.500 1
Tm1 0.000 0.186 0.000 1
Tm2 0.000 0.500 0.500 1
Tm3 0.248 0.099 0.500 1
```

---

7.
# Tl4TeSe5
Simulated PXRD pattern, Cu Kα X-rays. Input: a DFT-relaxed cell (PBE, Alexandria).

Top 6 peaks for 2θ = 10–90°, sorted by position:
| two_theta | d_spacing | intensity | hkl |
| --- | --- | --- | --- |
| 25.14 | 3.543 | 46 | 1 2 1 |
| 28.70 | 3.110 | 100 | 3 1 0 |
| 29.90 | 2.989 | 46 | 0 0 2 |
| 41.04 | 2.199 | 36 | 2 4 0 |
| 41.92 | 2.155 | 72 | 3 1 2 |
| 51.59 | 1.771 | 38 | 2 4 2 |

Structure:
```
data_Tl4TeSe5
_chemical_formula_sum 'Tl8 Te2 Se10'
_cell_length_a 9.836
_cell_length_b 9.836
_cell_length_c 5.978
_cell_angle_alpha 90.00
_cell_angle_beta 90.00
_cell_angle_gamma 90.00
_space_group_name_H-M_alt 'I 4/m'
_space_group_IT_number 87
_space_group_name_Hall '-I 4'
loop_
_atom_site_label
_atom_site_fract_x
_atom_site_fract_y
_atom_site_fract_z
_atom_site_occupancy
Tl1 0.094 0.699 0.000 1
Te1 0.000 0.000 0.500 1
Se1 0.000 0.000 0.000 1
Se2 0.094 0.724 0.500 1
```

---

8.
# Tb4BiSe2
Simulated PXRD pattern, Cu Kα X-rays. Input: a DFT-relaxed cell (PBE, Alexandria).

Top 6 peaks for 2θ = 10–90°, sorted by position:
| two_theta | d_spacing | intensity | hkl |
| --- | --- | --- | --- |
| 28.96 | 3.084 | 62 | 0 2 4 |
| 29.60 | 3.018 | 44 | 1 1 3 |
| 30.04 | 2.975 | 100 | 1 3 1 |
| 32.09 | 2.789 | 36 | 1 3 2 |
| 39.53 | 2.280 | 36 | 1 1 5 |
| 43.38 | 2.086 | 27 | 2 0 0 |

Structure:
```
data_Tb4BiSe2
_chemical_formula_sum 'Tb16 Bi4 Se8'
_cell_length_a 4.172
_cell_length_b 13.365
_cell_length_c 13.903
_cell_angle_alpha 90.00
_cell_angle_beta 90.00
_cell_angle_gamma 90.00
_space_group_name_H-M_alt 'C m c m'
_space_group_IT_number 63
_space_group_name_Hall '-C 2c 2'
loop_
_atom_site_label
_atom_site_fract_x
_atom_site_fract_y
_atom_site_fract_z
_atom_site_occupancy
Tb1 0.000 0.000 0.000 1
Tb2 0.000 0.268 0.121 1
Tb3 0.000 0.430 0.750 1
Bi1 0.000 0.105 0.750 1
Se1 0.000 0.365 0.559 1
```

---

9.
# Hg11I2BrClO4
Simulated PXRD pattern, Cu Kα X-rays. Input: a DFT-relaxed cell (PBE, Alexandria).

Top 6 peaks for 2θ = 10–90°, sorted by position:
| two_theta | d_spacing | intensity | hkl |
| --- | --- | --- | --- |
| 26.73 | 3.335 | 56 | 1 1 2 |
| 27.75 | 3.215 | 28 | 0 2 -2 |
| 28.92 | 3.088 | 100 | 2 -1 0 |
| 30.53 | 2.928 | 52 | 2 1 -1 |
| 32.59 | 2.748 | 40 | 0 2 -3 |
| 34.04 | 2.634 | 47 | -1 2 2 |

Structure:
```
data_Hg11I2BrClO4
_chemical_formula_sum 'Hg11 I2 Br1 Cl1 O4'
_cell_length_a 6.680
_cell_length_b 7.262
_cell_length_c 10.829
_cell_angle_alpha 98.74
_cell_angle_beta 92.02
_cell_angle_gamma 92.97
_space_group_name_H-M_alt 'P 1'
_space_group_IT_number 1
loop_
_space_group_symop_operation_xyz
'x,y,z'
loop_
_atom_site_label
_atom_site_fract_x
_atom_site_fract_y
_atom_site_fract_z
_atom_site_occupancy
Hg1 0.000 0.000 0.000 1
Hg2 0.021 0.470 0.192 1
Hg3 0.108 0.479 0.558 1
Hg4 0.204 0.760 0.855 1
Hg5 0.268 0.771 0.226 1
Hg6 0.313 0.243 0.414 1
Hg7 0.432 0.337 0.900 1
Hg8 0.475 0.159 0.091 1
Hg9 0.655 0.617 0.706 1
Hg10 0.830 0.072 0.322 1
Hg11 0.878 0.893 0.512 1
I1 0.398 0.950 0.612 1
I2 0.912 0.283 0.803 1
Br1 0.637 0.740 0.050 1
Cl1 0.693 0.464 0.385 1
O1 0.377 0.526 0.763 1
O2 0.433 0.042 0.267 1
O3 0.869 0.194 0.147 1
O4 0.935 0.710 0.652 1
```

---

10.
# ScMo5W4
Simulated PXRD pattern, Cu Kα X-rays. Input: a DFT-relaxed cell (PBE, Alexandria).

Top 6 peaks for 2θ = 10–90°, sorted by position:
| two_theta | d_spacing | intensity | hkl |
| --- | --- | --- | --- |
| 39.71 | 2.270 | 100 | 1 0 5 |
| 40.07 | 2.251 | 51 | 1 1 0 |
| 57.95 | 1.591 | 17 | 2 0 0 |
| 71.82 | 1.314 | 15 | 1 1 10 |
| 72.55 | 1.303 | 34 | 2 1 5 |
| 85.57 | 1.135 | 10 | 2 0 10 |

Structure:
```
data_ScMo5W4
_chemical_formula_sum 'Sc1 Mo5 W4'
_cell_length_a 3.183
_cell_length_b 3.183
_cell_length_c 16.193
_cell_angle_alpha 90.00
_cell_angle_beta 90.00
_cell_angle_gamma 90.00
_space_group_name_H-M_alt 'P 4/m m m'
_space_group_IT_number 123
_space_group_name_Hall '-P 4 2'
loop_
_atom_site_label
_atom_site_fract_x
_atom_site_fract_y
_atom_site_fract_z
_atom_site_occupancy
Sc1 0.000 0.000 0.000 1
Mo1 0.500 0.500 0.113 1
Mo2 0.500 0.500 0.305 1
Mo3 0.500 0.500 0.500 1
W1 0.000 0.000 0.204 1
W2 0.000 0.000 0.402 1
```

---

11.
# Mn5Al
Simulated PXRD pattern, Cu Kα X-rays. Input: a DFT-relaxed cell (PBE, Alexandria).

Top 6 peaks for 2θ = 10–90°, sorted by position:
| two_theta | d_spacing | intensity | hkl |
| --- | --- | --- | --- |
| 44.64 | 2.030 | 100 | 3 1 0 |
| 45.16 | 2.008 | 32 | 4 0 -2 |
| 45.65 | 1.987 | 64 | 1 1 -2 |
| 63.79 | 1.459 | 10 | 6 0 0 |
| 66.04 | 1.415 | 10 | 0 2 0 |
| 83.61 | 1.156 | 9 | 4 2 -2 |

Structure:
```
data_Mn5Al
_chemical_formula_sum 'Mn10 Al2'
_cell_length_a 9.163
_cell_length_b 2.830
_cell_length_c 5.585
_cell_angle_alpha 90.00
_cell_angle_beta 107.18
_cell_angle_gamma 90.00
_space_group_name_H-M_alt 'C 1 2/m 1'
_space_group_IT_number 12
loop_
_space_group_symop_operation_xyz
'x,y,z'
'-x,-y,-z'
'-x,y,-z'
'x,-y,z'
'x+1/2,y+1/2,z'
'-x+1/2,-y+1/2,-z'
'-x+1/2,y+1/2,-z'
'x+1/2,-y+1/2,z'
loop_
_atom_site_label
_atom_site_fract_x
_atom_site_fract_y
_atom_site_fract_z
_atom_site_occupancy
Mn1 0.000 0.000 0.000 1
Mn2 0.175 0.500 0.844 1
Mn3 0.177 0.500 0.337 1
Al1 0.000 0.000 0.500 1
```

---

12.
# Er2Th2ZnGa4
Simulated PXRD pattern, Cu Kα X-rays. Input: a DFT-relaxed cell (PBE, Alexandria).

Top 6 peaks for 2θ = 10–90°, sorted by position:
| two_theta | d_spacing | intensity | hkl |
| --- | --- | --- | --- |
| 25.73 | 3.462 | 34 | 2 0 0 |
| 32.87 | 2.725 | 100 | 2 0 2 |
| 36.71 | 2.448 | 59 | 2 2 0 |
| 52.89 | 1.731 | 21 | 4 0 0 |
| 56.09 | 1.640 | 18 | 2 2 4 |
| 63.69 | 1.461 | 30 | 4 2 2 |

Structure:
```
data_Er2Th2ZnGa4
_chemical_formula_sum 'Er4 Th4 Zn2 Ga8'
_cell_length_a 6.924
_cell_length_b 6.924
_cell_length_c 8.832
_cell_angle_alpha 90.00
_cell_angle_beta 90.00
_cell_angle_gamma 90.00
_space_group_name_H-M_alt 'I 4/m m m'
_space_group_IT_number 139
_space_group_name_Hall '-I 4 2'
loop_
_atom_site_label
_atom_site_fract_x
_atom_site_fract_y
_atom_site_fract_z
_atom_site_occupancy
Er1 0.000 0.000 0.190 1
Th1 0.000 0.500 0.250 1
Zn1 0.000 0.000 0.500 1
Ga1 0.248 0.248 0.500 1
```

---

What did the twelfth record say?
# Er2Th2ZnGa4
Simulated PXRD pattern, Cu Kα X-rays. Input: a DFT-relaxed cell (PBE, Alexandria).

Top 6 peaks for 2θ = 10–90°, sorted by position:
| two_theta | d_spacing | intensity | hkl |
| --- | --- | --- | --- |
| 25.73 | 3.462 | 34 | 2 0 0 |
| 32.87 | 2.725 | 100 | 2 0 2 |
| 36.71 | 2.448 | 59 | 2 2 0 |
| 52.89 | 1.731 | 21 | 4 0 0 |
| 56.09 | 1.640 | 18 | 2 2 4 |
| 63.69 | 1.461 | 30 | 4 2 2 |

Structure:
```
data_Er2Th2ZnGa4
_chemical_formula_sum 'Er4 Th4 Zn2 Ga8'
_cell_length_a 6.924
_cell_length_b 6.924
_cell_length_c 8.832
_cell_angle_alpha 90.00
_cell_angle_beta 90.00
_cell_angle_gamma 90.00
_space_group_name_H-M_alt 'I 4/m m m'
_space_group_IT_number 139
_space_group_name_Hall '-I 4 2'
loop_
_atom_site_label
_atom_site_fract_x
_atom_site_fract_y
_atom_site_fract_z
_atom_site_occupancy
Er1 0.000 0.000 0.190 1
Th1 0.000 0.500 0.250 1
Zn1 0.000 0.000 0.500 1
Ga1 0.248 0.248 0.500 1
```